(1)
For La2Er2Sb2H, a structure optimized by DFT (GGA-PBE) gives the theoretical XRD peak list in this record (a wavelength of 1.5418 Å).

Largest 10 diffraction maxima, by intensity, 2θ from 5° to 70°:
hkl	2θ (°)	d [Å]	intensity
1 1 4	34.5	2.598	100
1 1 2	29.2	3.057	96
2 0 0	38.9	2.315	63
1 0 5	32.6	2.748	37
2 0 6	50.8	1.796	31
0 0 6	31.4	2.845	30
3 1 4	67.6	1.385	28
0 0 2	10.4	8.536	24
2 2 0	56.2	1.637	21
3 1 2	64.6	1.443	20

Cell and atoms:
```
data_La2Er2Sb2H
_space_group_name_H-M_alt 'I 4/m m m'
_space_group_IT_number 139
_space_group_name_Hall '-I 4 2'
_cell_length_a 4.6304
_cell_length_b 4.6304
_cell_length_c 17.0725
_cell_angle_alpha 90.00
_cell_angle_beta 90.00
_cell_angle_gamma 90.00
loop_
_atom_site_label
_atom_site_type_symbol
_atom_site_fract_x
_atom_site_fract_y
_atom_site_fract_z
La1 La 0.0000 0.0000 0.1770
Er1 Er 0.0000 0.5000 0.0000
Sb1 Sb 0.0000 0.0000 0.3717
H1 H 0.0000 0.0000 0.0000
```



(2)
For ErMgH, a structure optimized by DFT (GGA-PBE) gives the theoretical XRD peak list in this record (a wavelength of 1.5418 Å).

Largest 10 diffraction maxima, by intensity, 2θ from 5° to 70°:
hkl	2θ (°)	d [Å]	intensity
1 0 1	33.4	2.686	100
0 0 1	15.6	5.686	64
1 0 0	29.3	3.047	51
1 0 2	43.5	2.079	35
0 0 2	31.5	2.843	22
1 0 3	57.2	1.609	22
1 1 2	62.0	1.496	19
1 1 0	52.0	1.759	16
0 2 1	63.2	1.472	16
1 1 1	54.6	1.681	15

Cell and atoms:
```
data_ErMgH
_space_group_name_H-M_alt 'P 3 m 1'
_space_group_IT_number 156
_cell_length_a 3.5189
_cell_length_b 3.5189
_cell_length_c 5.6856
_cell_angle_alpha 90.00
_cell_angle_beta 90.00
_cell_angle_gamma 120.00
loop_
_space_group_symop_operation_xyz
'x,y,z'
'-y,x-y,z'
'-x+y,-x,z'
'-y,-x,z'
'-x+y,y,z'
'x,x-y,z'
loop_
_atom_site_label
_atom_site_type_symbol
_atom_site_fract_x
_atom_site_fract_y
_atom_site_fract_z
Er1 Er 0.0000 0.0000 0.0000
Mg1 Mg 0.3333 0.6667 0.5024
H1 H 0.6667 0.3333 0.0805
```



(3)
For ErMgNi2H8, a structure optimized by DFT (GGA-PBE) gives the theoretical XRD peak list in this record (a wavelength of 1.5418 Å).

Largest 10 diffraction maxima, by intensity, 2θ from 5° to 70°:
hkl	2θ (°)	d [Å]	intensity
1 0 4	31.5	2.844	100
1 1 0	39.3	2.295	60
1 0 1	23.0	3.861	56
0 1 5	35.6	2.519	35
0 0 9	50.4	1.811	26
0 2 4	51.1	1.786	25
2 0 8	65.7	1.421	25
2 1 4	66.3	1.409	22
0 0 3	16.3	5.428	14
2 0 5	54.1	1.696	11

Cell and atoms:
```
data_ErMgNi2H8
_space_group_name_H-M_alt 'R -3'
_space_group_IT_number 148
_space_group_name_Hall '-R 3'
_cell_length_a 4.5893
_cell_length_b 4.5893
_cell_length_c 16.2848
_cell_angle_alpha 90.00
_cell_angle_beta 90.00
_cell_angle_gamma 120.00
loop_
_atom_site_label
_atom_site_type_symbol
_atom_site_fract_x
_atom_site_fract_y
_atom_site_fract_z
Er1 Er 0.0000 0.0000 0.0000
Mg1 Mg 0.0000 0.0000 0.5000
Ni1 Ni 0.0000 0.0000 0.2303
H1 H 0.0000 0.0000 0.3231
H2 H 0.0129 0.3068 0.8969
```



(4)
For Nd3ErH8, a structure optimized by DFT (GGA-PBE) gives the theoretical XRD peak list in this record (a wavelength of 1.5418 Å).

Largest 6 diffraction maxima, by intensity, 2θ from 5° to 70°:
hkl	2θ (°)	d [Å]	intensity
1 1 1	28.7	3.106	100
2 0 0	33.3	2.690	49
3 1 1	56.8	1.622	45
2 2 0	47.8	1.902	38
2 2 2	59.5	1.553	13
4 0 0	70.0	1.345	6

Cell and atoms:
```
data_Nd3ErH8
_space_group_name_H-M_alt 'P m -3 m'
_space_group_IT_number 221
_space_group_name_Hall '-P 4 2 3'
_cell_length_a 5.3795
_cell_length_b 5.3795
_cell_length_c 5.3795
_cell_angle_alpha 90.00
_cell_angle_beta 90.00
_cell_angle_gamma 90.00
loop_
_atom_site_label
_atom_site_type_symbol
_atom_site_fract_x
_atom_site_fract_y
_atom_site_fract_z
Nd1 Nd 0.0000 0.0000 0.5000
Er1 Er 0.5000 0.5000 0.5000
H1 H 0.2598 0.2598 0.2598
```



(5)
For Nd2Er4Tl3H2, a structure optimized by DFT (GGA-PBE) gives the theoretical XRD peak list in this record (a wavelength of 1.5418 Å).

Largest 10 diffraction maxima, by intensity, 2θ from 5° to 70°:
hkl	2θ (°)	d [Å]	intensity
1 1 6	34.4	2.604	100
2 0 0	37.7	2.389	50
1 1 2	27.4	3.257	32
3 1 6	65.9	1.417	31
1 0 7	31.7	2.825	19
1 0 1	18.9	4.690	19
2 2 0	54.3	1.689	17
2 0 12	59.5	1.553	15
1 1 4	30.2	2.959	12
2 1 7	50.0	1.824	11

Cell and atoms:
```
data_Nd2Er4Tl3H2
_space_group_name_H-M_alt 'I 4/m m m'
_space_group_IT_number 139
_space_group_name_Hall '-I 4 2'
_cell_length_a 4.7782
_cell_length_b 4.7782
_cell_length_c 24.5185
_cell_angle_alpha 90.00
_cell_angle_beta 90.00
_cell_angle_gamma 90.00
loop_
_atom_site_label
_atom_site_type_symbol
_atom_site_fract_x
_atom_site_fract_y
_atom_site_fract_z
Nd1 Nd 0.0000 0.0000 0.1961
Er1 Er 0.0000 0.5000 0.0820
Tl1 Tl 0.0000 0.0000 0.3298
Tl2 Tl 0.0000 0.0000 0.5000
H1 H 0.0000 0.0000 0.0968
```



(6)
For ErNiH, a structure optimized by DFT (GGA-PBE) gives the theoretical XRD peak list in this record (a wavelength of 1.5418 Å).

Largest 10 diffraction maxima, by intensity, 2θ from 5° to 70°:
hkl	2θ (°)	d [Å]	intensity
1 1 1	29.5	3.033	100
2 1 1	36.5	2.459	58
0 0 2	40.4	2.232	30
3 1 1	46.3	1.961	26
0 2 0	35.8	2.511	26
3 0 0	37.1	2.425	21
1 3 1	60.4	1.532	19
0 2 2	55.0	1.668	15
3 0 2	56.0	1.642	13
2 2 0	43.8	2.066	12

Cell and atoms:
```
data_ErNiH
_space_group_name_H-M_alt 'P b c m'
_space_group_IT_number 57
_cell_length_a 7.2738
_cell_length_b 5.0223
_cell_length_c 4.4639
_cell_angle_alpha 90.00
_cell_angle_beta 90.00
_cell_angle_gamma 90.00
loop_
_space_group_symop_operation_xyz
'x,y,z'
'-x,-y,-z'
'-x,-y,z+1/2'
'x,y,-z+1/2'
'x,-y+1/2,-z'
'-x,y+1/2,z'
'-x,y+1/2,-z+1/2'
'x,-y+1/2,z+1/2'
loop_
_atom_site_label
_atom_site_type_symbol
_atom_site_fract_x
_atom_site_fract_y
_atom_site_fract_z
Er1 Er 0.1950 0.0043 0.2500
Ni1 Ni 0.4430 0.6056 0.2500
H1 H 0.0012 0.7500 0.0000
```



(7)
For SrErNi2H8, a structure optimized by DFT (GGA-PBE) gives the theoretical XRD peak list in this record (a wavelength of 1.5418 Å).

Largest 10 diffraction maxima, by intensity, 2θ from 5° to 70°:
hkl	2θ (°)	d [Å]	intensity
1 0 4	28.8	3.099	100
1 1 0	37.4	2.403	51
0 2 4	47.9	1.899	33
0 1 8	44.7	2.028	25
3 -1 4	62.3	1.490	21
0 0 3	14.3	6.190	20
1 0 7	40.3	2.238	18
0 1 2	23.4	3.798	18
3 0 0	67.5	1.387	12
2 0 8	59.7	1.550	12

Cell and atoms:
```
data_SrErNi2H8
_space_group_name_H-M_alt 'R -3'
_space_group_IT_number 148
_space_group_name_Hall '-R 3'
_cell_length_a 4.8053
_cell_length_b 4.8053
_cell_length_c 18.5701
_cell_angle_alpha 90.00
_cell_angle_beta 90.00
_cell_angle_gamma 120.00
loop_
_atom_site_label
_atom_site_type_symbol
_atom_site_fract_x
_atom_site_fract_y
_atom_site_fract_z
Sr1 Sr 0.0000 0.0000 0.0000
Er1 Er 0.0000 0.0000 0.5000
Ni1 Ni 0.0000 0.0000 0.2287
H1 H 0.0000 0.0000 0.3098
H2 H 0.0224 0.6136 0.5592
```